Simulated powder XRD pattern
Compound: CrGaO4
Radiation: copper Kα
Structure: the GGA+U geometry in Alexandria
Kinematic intensities with the Lorentz-polarization factor, no thermal factor.

Structure:
```
data_CrGaO4
_symmetry_space_group_name_H-M 'C m c m'
_symmetry_Int_Tables_number 63
_symmetry_space_group_name_Hall '-C 2c 2'
_cell_length_a 6.801
_cell_length_b 7.833
_cell_length_c 5.972
_cell_angle_alpha 90.00
_cell_angle_beta 90.00
_cell_angle_gamma 90.00
loop_
_atom_site_label
_atom_site_type_symbol
_atom_site_fract_x
_atom_site_fract_y
_atom_site_fract_z
_atom_site_occupancy
Cr1 Cr 0.000 0.173 0.250 1
Ga1 Ga 0.000 0.453 0.750 1
O1 O 0.000 0.339 0.042 1
O2 O 0.206 0.057 0.250 1
```

Peak list (10 most intense, 2θ = 10–90°, by angle)
two_theta	d_spacing	intensity
17.27	5.136	87
22.84	3.894	46
26.20	3.401	96
27.23	3.275	100
29.92	2.986	67
38.15	2.359	28
48.19	1.888	57
51.49	1.775	24
62.54	1.485	29
62.85	1.479	32